Diffraction record for Ca4Mn6F19. The powder diffractogram is calculated, not measured: it uses a structure optimized by DFT (GGA+U) and Cu Kα.
Peak positions follow from Bragg's law for the DFT cell and can differ from measured ones.

Structural model:
```
data_Ca4Mn6F19
_chemical_formula_sum 'Ca8 Mn12 F38'
_symmetry_space_group_name_H-M 'I 2 3'
_symmetry_Int_Tables_number 197
_symmetry_space_group_name_Hall 'I 2 2 3'
_cell_length_a 9.4726
_cell_length_b 9.4726
_cell_length_c 9.4726
_cell_angle_alpha 90.00
_cell_angle_beta 90.00
_cell_angle_gamma 90.00
loop_
_atom_site_label
_atom_site_type_symbol
_atom_site_fract_x
_atom_site_fract_y
_atom_site_fract_z
Ca1 Ca 0.1452 0.1452 0.8548
Mn1 Mn 0.0000 0.3357 0.5000
F1 F 0.0000 0.0000 0.0000
F2 F 0.0000 0.0000 0.3190
F3 F 0.0588 0.3187 0.7144
```

Principal peaks in the range 5° ≤ 2θ ≤ 70°, in order of rising 2θ:
index  2θ (°)  I (rel.)
1 1 0  13.22  32
2 0 0  18.74  36
2 1 1  23.00  73
3 1 0  29.83  100
2 2 2  32.75  34
3 2 1  35.46  70
3 3 0  40.40  39
4 2 2  46.99  37
4 1 3  49.04  92
6 0 0  58.46  40